Calculated powder diffractogram of Cs2LiWF6 for a wavelength of 1.5418 Å, from a cell relaxed with GGA+U.
Peak positions follow from Bragg's law for the DFT cell and can differ from measured ones.

Principal peaks in the range 5° ≤ 2θ ≤ 70°, most intense first:
(1 2 1), 28.91°, I 100; (1 1 0), 17.42°, I 41; (2 0 2), 37.95°, I 39; (0 1 1), 16.84°, I 34; (2 0 0), 27.33°, I 30; (0 0 2), 25.82°, I 29; (2 4 2), 59.89°, I 23; (3 2 1), 49.29°, I 22; (1 2 3), 47.49°, I 17; (0 4 0), 44.53°, I 15

Cell and atoms:
Cell: 6.5274 8.1390 6.9011 Å, 90.00 90.00 90.00°
Space group Pmmn (No. 59, origin choice 2)
One atom of each set of equivalent atoms:
Cs  0.2500  0.0090  0.2181 (multiplicity 4)
Li  0.2500  0.7500  0.6419 (multiplicity 2)
W  0.2500  0.2500  0.7172 (multiplicity 2)
F  0.0094  0.2500  0.5047 (multiplicity 4)
F  0.0282  0.2500  0.9389 (multiplicity 4)
F  0.2500  0.5129  0.7195 (multiplicity 4)